For PtRh8, a crystal structure in Alexandria, relaxed with GGA-PBE gives the computed powder X-ray diffraction pattern in this record (a wavelength of 1.5418 Å).
Neutral-atom scattering factors, no anomalous dispersion.

Cell and atoms:
a = 8.1890 Å, b = 8.1890 Å, c = 3.8434 Å
α = 90.00°, β = 90.00°, γ = 90.00°
Space group I4/mmm (No. 139)
Asymmetric unit:
Pt 0.0000 0.0000 0.0000 (multiplicity 2)
Rh 0.0000 0.3352 0.0000 (multiplicity 8)
Rh 0.1685 0.1685 0.5000 (multiplicity 8)

Principal peaks in the range 2θ = 10–90°, by angle:
- 2θ = 40.54°, rel. 100, (3 0 1)
- 2θ = 47.08°, rel. 32, (3 3 0)
- 2θ = 47.30°, rel. 16, (0 0 2)
- 2θ = 68.96°, rel. 20, (3 3 2)
- 2θ = 83.00°, rel. 24, (6 3 1)
- 2θ = 83.32°, rel. 12, (3 0 3)